Calculated X-ray powder pattern of La2GdSn2Pb5 for Cu Ka, from a structure optimized by DFT (GGA-PBE).
Intensities are scaled so that the largest is 100.

Main lines, low angle first (10° ≤ 2θ ≤ 90°):
(1 5 1), d 2.825, I = 100
(0 10 0), d 2.622, I = 17
(0 0 2), d 2.375, I = 17
(2 0 0), d 2.368, I = 16
(2 10 0), d 1.759, I = 21
(1 5 3), d 1.444, I = 13

Crystal structure
a b c (Å): 4.7352 26.2209 4.7497
angles (deg): 90.00 90.00 90.00
Space group Cmmm (No. 65)
Symmetry-distinct sites (fractional):
La: 0.0000 0.1848 0.0000 (multiplicity 4)
Gd: 0.0000 0.0000 0.0000 (multiplicity 2)
Sn: 0.0000 0.0938 0.5000 (multiplicity 4)
Pb: 0.0000 0.2924 0.5000 (multiplicity 4)
Pb: 0.0000 0.4061 0.0000 (multiplicity 4)
Pb: 0.0000 0.5000 0.5000 (multiplicity 2)